1.
Starting from a DFT-relaxed cell (GGA-PBE, Alexandria), the PXRD pattern of Y3Al9Ag2 was calculated for Cu Kα (weighted mean of Kα1 and Kα2).
Intensities are scaled so that the largest is 100.

Atomic structure:
Cell: 8.3339 8.3339 8.3339 Å, 150.00 104.87 82.95°
Fractional coordinates of all 14 atoms:
Y 0.0000 0.0000 0.0000
Y 0.3093 0.3093 0.0000
Y 0.6907 0.6907 0.0000
Al 0.0335 0.6607 0.3728
Al 0.1435 0.8647 0.2788
Al 0.2880 0.6607 0.6272
Al 0.4141 0.1353 0.2788
Al 0.5000 0.0000 0.5000
Al 0.5859 0.8647 0.7212
Al 0.7120 0.3393 0.3728
Al 0.8565 0.1353 0.7212
Al 0.9665 0.3393 0.6272
Ag 0.2908 0.5000 0.7908
Ag 0.7092 0.5000 0.2092

Most intense lines, 10° ≤ 2θ ≤ 80°, low angle first:
2θ 22.4, d = 3.971 Å, rel. 21
2θ 22.6, d = 3.941 Å, rel. 19
2θ 28.1, d = 3.180 Å, rel. 19
2θ 34.1, d = 2.627 Å, rel. 29
2θ 34.8, d = 2.580 Å, rel. 100
2θ 36.7, d = 2.452 Å, rel. 31
2θ 41.9, d = 2.158 Å, rel. 38
2θ 43.5, d = 2.081 Å, rel. 15



2.
Starting from a DFT-relaxed cell (GGA-PBE, Alexandria), the PXRD pattern of Al2Zn7Ag3 was calculated for Cu Kα (weighted mean of Kα1 and Kα2).
Intensities are scaled so that the largest is 100.

Atomic structure:
Cell: 4.4977 2.7975 15.8183 Å, 90.00 96.25 90.00°
Fractional coordinates of all 12 atoms:
Al 0.2159 0.0000 0.2950
Al 0.7841 0.0000 0.7050
Zn 0.2088 0.5000 0.1486
Zn 0.2378 0.0000 0.4617
Zn 0.2900 0.0000 0.8296
Zn 0.5000 0.5000 0.0000
Zn 0.7100 0.0000 0.1704
Zn 0.7622 0.0000 0.5383
Zn 0.7912 0.5000 0.8514
Ag 0.0000 0.0000 0.0000
Ag 0.2708 0.5000 0.6288
Ag 0.7292 0.5000 0.3712

Most intense lines, 10° ≤ 2θ ≤ 80°, low angle first:
2θ 11.3, d = 7.862 Å, rel. 26
2θ 34.2, d = 2.621 Å, rel. 27
2θ 37.9, d = 2.376 Å, rel. 24
2θ 39.5, d = 2.279 Å, rel. 27
2θ 40.1, d = 2.247 Å, rel. 25
2θ 40.4, d = 2.235 Å, rel. 100
2θ 40.8, d = 2.209 Å, rel. 27
2θ 41.8, d = 2.161 Å, rel. 19



3.
Starting from a DFT-relaxed cell (GGA-PBE, Alexandria), the PXRD pattern of Al3Zn3Ag was calculated for Cu Kα (weighted mean of Kα1 and Kα2).
Intensities are scaled so that the largest is 100.

Atomic structure:
Cell: 7.3549 7.3549 4.8591 Å, 90.00 90.00 120.00°
Fractional coordinates of all 14 atoms:
Al 0.0498 0.2378 0.2500
Al 0.1880 0.9502 0.2500
Al 0.2378 0.1880 0.7500
Al 0.7622 0.8120 0.2500
Al 0.8120 0.0498 0.7500
Al 0.9502 0.7622 0.7500
Zn 0.0975 0.4761 0.7500
Zn 0.3786 0.9025 0.7500
Zn 0.4761 0.3786 0.2500
Zn 0.5239 0.6214 0.7500
Zn 0.6214 0.0975 0.2500
Zn 0.9025 0.5239 0.2500
Ag 0.3333 0.6667 0.2500
Ag 0.6667 0.3333 0.7500

Most intense lines, 10° ≤ 2θ ≤ 80°, low angle first:
2θ 13.9, d = 6.370 Å, rel. 37
2θ 37.0, d = 2.430 Å, rel. 30
2θ 37.4, d = 2.407 Å, rel. 22
2θ 41.9, d = 2.157 Å, rel. 100
2θ 53.6, d = 1.710 Å, rel. 15
2θ 67.4, d = 1.390 Å, rel. 15
2θ 70.0, d = 1.344 Å, rel. 20
2θ 79.4, d = 1.206 Å, rel. 18